Starting from a crystal structure in Alexandria, relaxed with PBE, the powder diffraction line list of MnAuS2 was computed for Cu Kα X-rays.
No peak broadening, texture or thermal motion is included.

Principal peaks in the range 2θ = 5–70°, by angle:
d = 6.157 Å, rel. 27, (0 0 1); d = 5.974 Å, rel. 100, (0 1 0); d = 3.935 Å, rel. 27, (1 -1 0); d = 3.897 Å, rel. 28, (1 1 0); d = 3.511 Å, rel. 64, (1 1 -1); d = 3.079 Å, rel. 29, (0 0 2); d = 2.746 Å, rel. 14, (0 1 -2); d = 2.727 Å, rel. 14, (0 1 2); d = 2.596 Å, rel. 28, (1 -2 0); d = 2.577 Å, rel. 15, (1 2 0); d = 2.460 Å, rel. 23, (-1 2 1); d = 2.170 Å, rel. 16, (2 0 -2)

Structure:
```
8
Lattice="5.259 0.000 0.000 -0.051 5.974 0.000 -1.042 -0.052 6.157" Properties=species:S:1:pos:R:3 pbc="T T T"
Mn 1.315 0.067 0.002
Mn 2.852 5.855 6.155
Au 0.797 0.789 3.077
Au 3.369 5.133 3.080
S -0.061 1.450 1.008
S 1.646 1.407 5.163
S 2.521 4.515 0.994
S 4.227 4.472 5.149
```